# 1
The following is a calculated powder diffractogram of Nd2Ga3Pt. It was derived from the PBE geometry in Alexandria, using a wavelength of 1.5418 Å.

Largest 10 diffraction maxima, sorted by position, 10° ≤ 2θ ≤ 90°:
16.24 deg, rel. 7; 23.01 deg, rel. 11; 32.82 deg, rel. 100; 40.38 deg, rel. 56; 47.22 deg, rel. 12; 52.97 deg, rel. 25; 63.83 deg, rel. 28; 68.65 deg, rel. 23; 73.42 deg, rel. 9; 78.53 deg, rel. 7

Structure:
Lattice parameters (Å, degrees): 7.6994 8.9354 15.4759 90.00 90.00 90.00
Space group Fmmm (No. 69)
One atom of each set of equivalent atoms:
Nd (0.2375, 0.0000, 0.0000) (multiplicity 8)
Nd (0.2500, 0.2500, 0.2500) (multiplicity 8)
Ga (0.0000, 0.0000, 0.3341) (multiplicity 8)
Ga (0.0000, 0.2490, 0.4165) (multiplicity 16)
Pt (0.0000, 0.0000, 0.1677) (multiplicity 8)

# 2
The following is a calculated powder diffractogram of CsHSe. It was derived from the PBE geometry in Alexandria, using a wavelength of 1.5418 Å.

Largest 10 diffraction maxima, sorted by position, 10° ≤ 2θ ≤ 90°:
23.30 deg, rel. 63; 23.97 deg, rel. 100; 24.31 deg, rel. 92; 26.33 deg, rel. 62; 33.67 deg, rel. 48; 33.92 deg, rel. 47; 34.40 deg, rel. 74; 35.90 deg, rel. 54; 41.96 deg, rel. 51; 55.55 deg, rel. 54

Structure:
Lattice parameters (Å, degrees): 7.3231 7.4260 7.6349 90.00 90.00 90.00
Space group Pnma (No. 62)
One atom of each set of equivalent atoms:
Cs (0.2419, 0.2500, 0.0553) (multiplicity 4)
H (0.1082, 0.7500, 0.1746) (multiplicity 4)
Se (0.2329, 0.2500, 0.5525) (multiplicity 4)

# 3
The following is a calculated powder diffractogram of KLi5. It was derived from the PBE geometry in Alexandria, using a wavelength of 1.5418 Å.

Largest 10 diffraction maxima, sorted by position, 10° ≤ 2θ ≤ 90°:
14.89 deg, rel. 42; 16.92 deg, rel. 44; 18.18 deg, rel. 69; 22.61 deg, rel. 48; 24.93 deg, rel. 80; 28.00 deg, rel. 28; 30.03 deg, rel. 19; 32.90 deg, rel. 100; 33.49 deg, rel. 26; 34.23 deg, rel. 24

Structure:
Lattice parameters (Å, degrees): 5.3510 11.9012 5.2395 90.00 90.00 90.00
Space group Cmmm (No. 65)
One atom of each set of equivalent atoms:
K (0.0000, 0.0000, 0.0000) (multiplicity 2)
Li (0.0000, 0.2028, 0.5000) (multiplicity 4)
Li (0.0000, 0.3181, 0.0000) (multiplicity 4)
Li (0.0000, 0.5000, 0.5000) (multiplicity 2)

# 4
The following is a calculated powder diffractogram of Sr4TcN5. It was derived from the PBE geometry in Alexandria, using a wavelength of 1.5418 Å.

Largest 10 diffraction maxima, sorted by position, 10° ≤ 2θ ≤ 90°:
30.19 deg, rel. 100; 32.96 deg, rel. 30; 35.97 deg, rel. 50; 49.59 deg, rel. 34; 51.79 deg, rel. 18; 57.15 deg, rel. 16; 61.12 deg, rel. 30; 62.77 deg, rel. 15; 80.73 deg, rel. 12; 84.17 deg, rel. 7

Structure:
Lattice parameters (Å, degrees): 7.8944 7.8944 5.4348 90.00 90.00 90.00
Space group I4 (No. 79)
One atom of each set of equivalent atoms:
Sr (0.1116, 0.7009, 0.0000) (multiplicity 8)
Tc (0.0000, 0.0000, 0.5652) (multiplicity 2)
N (0.0000, 0.0000, 0.8944) (multiplicity 2)
N (0.0779, 0.7572, 0.4940) (multiplicity 8)

# 5
The following is a calculated powder diffractogram of Ac2PmNdEr. It was derived from the PBE geometry in Alexandria, using a wavelength of 1.5418 Å.

Largest 10 diffraction maxima, sorted by position, 10° ≤ 2θ ≤ 90°:
27.52 deg, rel. 25; 27.66 deg, rel. 100; 28.00 deg, rel. 28; 31.27 deg, rel. 19; 32.20 deg, rel. 21; 33.11 deg, rel. 22; 35.91 deg, rel. 27; 38.28 deg, rel. 22; 43.52 deg, rel. 18; 48.75 deg, rel. 22

Structure:
Lattice parameters (Å, degrees): 6.4819 8.8644 6.8310 90.00 90.00 90.00
Space group Pmma (No. 51)
One atom of each set of equivalent atoms:
Ac (0.2500, 0.2063, 0.2111) (multiplicity 4)
Pm (0.2500, 0.0000, 0.6830) (multiplicity 2)
Nd (0.2500, 0.5000, 0.9136) (multiplicity 2)
Er (0.0000, 0.5000, 0.5000) (multiplicity 2)

# 6
The following is a calculated powder diffractogram of ErCu3Ni. It was derived from the PBE geometry in Alexandria, using a wavelength of 1.5418 Å.

Largest 10 diffraction maxima, sorted by position, 10° ≤ 2θ ≤ 90°:
30.06 deg, rel. 21; 33.92 deg, rel. 52; 36.91 deg, rel. 30; 41.69 deg, rel. 24; 41.81 deg, rel. 38; 42.39 deg, rel. 100; 48.31 deg, rel. 31; 60.43 deg, rel. 15; 67.00 deg, rel. 17; 70.25 deg, rel. 21

Structure:
Lattice parameters (Å, degrees): 5.1734 11.8902 4.8709 90.00 90.00 90.00
Space group Cmcm (No. 63)
One atom of each set of equivalent atoms:
Er (0.0000, 0.1022, 0.2500) (multiplicity 4)
Cu (0.0000, 0.3159, 0.7500) (multiplicity 4)
Cu (0.2391, 0.3525, 0.2500) (multiplicity 8)
Ni (0.0000, 0.5000, 0.0000) (multiplicity 4)

# 7
The following is a calculated powder diffractogram of Cr3Ir5. It was derived from the PBE geometry in Alexandria, using a wavelength of 1.5418 Å.

Largest 10 diffraction maxima, sorted by position, 10° ≤ 2θ ≤ 90°:
20.02 deg, rel. 10; 29.03 deg, rel. 7; 38.49 deg, rel. 28; 42.33 deg, rel. 25; 44.15 deg, rel. 100; 58.53 deg, rel. 14; 69.62 deg, rel. 17; 78.69 deg, rel. 17; 84.98 deg, rel. 20; 86.22 deg, rel. 14

Structure:
Lattice parameters (Å, degrees): 10.1045 9.3542 5.0536 90.00 115.36 90.00
Space group C2/c (No. 15)
One atom of each set of equivalent atoms:
Cr (0.0000, 0.0352, 0.2500) (multiplicity 4)
Cr (0.1265, 0.2927, 0.5062) (multiplicity 8)
Ir (0.0000, 0.4601, 0.7500) (multiplicity 4)
Ir (0.1213, 0.2062, 0.0127) (multiplicity 8)
Ir (0.2433, 0.0436, 0.7395) (multiplicity 8)